The following is a theoretical XRD peak list of Ga2WO6. It was derived from the PBE+U geometry in Alexandria, using a wavelength of 1.5418 Å.
Neutral-atom scattering factors, no anomalous dispersion.

Structure:
```
data_Ga2WO6
_chemical_formula_sum 'Ga8 W4 O24'
_cell_length_a 4.578
_cell_length_b 16.867
_cell_length_c 4.990
_cell_angle_alpha 90.00
_cell_angle_beta 90.00
_cell_angle_gamma 90.00
_symmetry_space_group_name_H-M 'P b c n'
_symmetry_Int_Tables_number 60
_symmetry_space_group_name_Hall '-P 2n 2ab'
loop_
_atom_site_label
_atom_site_type_symbol
_atom_site_fract_x
_atom_site_fract_y
_atom_site_fract_z
Ga1 Ga 0.000 0.054 0.250
Ga2 Ga 0.000 0.274 0.750
W1 W 0.000 0.386 0.250
O1 O 0.225 0.297 0.077
O2 O 0.230 0.373 0.572
O3 O 0.234 0.040 0.591
```

Top 10 peaks for 2θ from 5° to 70°, by angle:
d (Å), I/Imax, hkl
4.295, 227, 0 2 1
3.550, 370, 1 3 0
2.893, 1000, 1 3 1
2.495, 167, 0 0 2
2.449, 248, 0 6 1
1.734, 159, 1 9 0
1.687, 185, 2 0 2
1.672, 283, 2 6 1
1.506, 150, 1 3 3
1.424, 155, 1 9 2